Record 1
This entry pairs a crystal structure of SiBN with its calculated PXRD pattern. Radiation: Cu Kα (weighted mean of Kα1 and Kα2). Structure: a crystal structure in Alexandria, relaxed with GGA-PBE.
No peak broadening, texture or thermal motion is included.

Largest 6 diffraction maxima, in order of falling intensity, 10° ≤ 2θ ≤ 90°:
2θ 31.8, rel. 100
2θ 42.3, rel. 90
2θ 38.2, rel. 47
2θ 26.6, rel. 41
2θ 34.7, rel. 41
2θ 60.3, rel. 31

Cell and atoms:
Cell lengths 4.150, 5.692, 5.176 Å; angles 90.00, 90.00, 90.00 degrees
Atoms (fractional coordinates):
Si 0.081 0.170 0.000
Si 0.419 0.170 0.500
Si 0.581 0.830 0.000
Si 0.919 0.830 0.500
B 0.231 0.612 0.144
B 0.269 0.612 0.644
B 0.731 0.388 0.144
B 0.769 0.388 0.644
N 0.121 0.374 0.667
N 0.379 0.374 0.167
N 0.621 0.626 0.667
N 0.879 0.626 0.167

=====

Record 2
This entry pairs a crystal structure of RbNa2Hg2F7 with its calculated PXRD pattern. Radiation: Cu Kα (weighted mean of Kα1 and Kα2). Structure: a crystal structure in Alexandria, relaxed with GGA-PBE.
No peak broadening, texture or thermal motion is included.

Largest 6 diffraction maxima, in order of falling intensity, 10° ≤ 2θ ≤ 90°:
2θ 23.6, rel. 100
2θ 30.1, rel. 82
2θ 19.6, rel. 80
2θ 38.6, rel. 62
2θ 27.0, rel. 61
2θ 49.7, rel. 43

Cell and atoms:
Cell lengths 10.147, 10.147, 4.674 Å; angles 103.28, 103.28, 26.58 degrees
Atoms (fractional coordinates):
Rb 0.000 0.000 0.000
Na 0.233 0.268 0.751
Na 0.732 0.767 0.249
Hg 0.364 0.399 0.381
Hg 0.601 0.636 0.619
F 0.103 0.143 0.625
F 0.243 0.278 0.261
F 0.365 0.393 0.879
F 0.430 0.570 0.500
F 0.607 0.635 0.121
F 0.722 0.757 0.739
F 0.857 0.897 0.375

=====

Record 3
This entry pairs a crystal structure of NiAgRh4 with its calculated PXRD pattern. Radiation: Cu Kα (weighted mean of Kα1 and Kα2). Structure: a crystal structure in Alexandria, relaxed with GGA-PBE.
No peak broadening, texture or thermal motion is included.

Largest 6 diffraction maxima, in order of falling intensity, 10° ≤ 2θ ≤ 90°:
2θ 41.4, rel. 100
2θ 43.3, rel. 46
2θ 67.2, rel. 30
2θ 74.1, rel. 27
2θ 35.0, rel. 22
2θ 89.8, rel. 17

Cell and atoms:
Cell lengths 5.121, 5.121, 5.121 Å; angles 60.00, 60.00, 60.00 degrees
Atoms (fractional coordinates):
Ni 0.000 0.000 0.000
Ag 0.250 0.250 0.250
Rh 0.124 0.625 0.625
Rh 0.625 0.124 0.625
Rh 0.625 0.625 0.124
Rh 0.625 0.625 0.625

=====

Record 4
This entry pairs a crystal structure of Tb9Ho2Er with its calculated PXRD pattern. Radiation: Cu Kα (weighted mean of Kα1 and Kα2). Structure: a crystal structure in Alexandria, relaxed with GGA-PBE.
No peak broadening, texture or thermal motion is included.

Largest 6 diffraction maxima, in order of falling intensity, 10° ≤ 2θ ≤ 90°:
2θ 32.0, rel. 100
2θ 31.6, rel. 52
2θ 62.9, rel. 29
2θ 30.2, rel. 27
2θ 56.8, rel. 19
2θ 45.6, rel. 18

Cell and atoms:
Cell lengths 11.195, 11.195, 3.480 Å; angles 90.00, 90.00, 120.00 degrees
Atoms (fractional coordinates):
Tb 0.000 0.500 0.000
Tb 0.175 0.351 0.500
Tb 0.175 0.825 0.500
Tb 0.351 0.175 0.500
Tb 0.500 0.000 0.000
Tb 0.500 0.500 0.000
Tb 0.649 0.825 0.500
Tb 0.825 0.175 0.500
Tb 0.825 0.649 0.500
Ho 0.333 0.667 0.000
Ho 0.667 0.333 0.000
Er 0.000 0.000 0.000

=====

Record 5
This entry pairs a crystal structure of La3Sm4Er5 with its calculated PXRD pattern. Radiation: Cu Kα (weighted mean of Kα1 and Kα2). Structure: a crystal structure in Alexandria, relaxed with GGA-PBE.
No peak broadening, texture or thermal motion is included.

Largest 6 diffraction maxima, in order of falling intensity, 10° ≤ 2θ ≤ 90°:
2θ 30.3, rel. 100
2θ 35.1, rel. 45
2θ 50.6, rel. 40
2θ 30.4, rel. 33
2θ 60.2, rel. 24
2θ 35.2, rel. 22

Cell and atoms:
Cell lengths 6.244, 7.211, 8.852 Å; angles 89.77, 89.88, 89.92 degrees
Atoms (fractional coordinates):
La 0.000 0.000 0.000
La 0.168 0.250 0.332
La 0.832 0.750 0.668
Sm 0.170 0.750 0.333
Sm 0.331 0.500 0.670
Sm 0.669 0.500 0.330
Sm 0.830 0.250 0.667
Er 0.000 0.500 0.000
Er 0.336 0.001 0.670
Er 0.498 0.749 0.000
Er 0.502 0.251 0.000
Er 0.664 0.999 0.330

=====

Record 6
This entry pairs a crystal structure of Li2DyZrO4 with its calculated PXRD pattern. Radiation: Cu Kα (weighted mean of Kα1 and Kα2). Structure: a crystal structure in Alexandria, relaxed with GGA-PBE.
No peak broadening, texture or thermal motion is included.

Largest 6 diffraction maxima, in order of falling intensity, 10° ≤ 2θ ≤ 90°:
2θ 22.1, rel. 100
2θ 34.3, rel. 39
2θ 40.6, rel. 34
2θ 35.0, rel. 29
2θ 46.7, rel. 27
2θ 57.0, rel. 23

Cell and atoms:
Cell lengths 5.656, 5.656, 5.656 Å; angles 133.71, 133.71, 67.54 degrees
Atoms (fractional coordinates):
Li 0.000 0.000 0.000
Li 0.750 0.250 0.500
Dy 0.500 0.500 0.000
Zr 0.250 0.750 0.500
O 0.013 0.513 0.500
O 0.250 0.250 0.000
O 0.487 0.987 0.500
O 0.750 0.750 0.000

=====

Record 7
This entry pairs a crystal structure of Cr2Co8Re with its calculated PXRD pattern. Radiation: Cu Kα (weighted mean of Kα1 and Kα2). Structure: a crystal structure in Alexandria, relaxed with GGA-PBE.
No peak broadening, texture or thermal motion is included.

Largest 6 diffraction maxima, in order of falling intensity, 10° ≤ 2θ ≤ 90°:
2θ 44.8, rel. 100
2θ 46.6, rel. 99
2θ 11.3, rel. 76
2θ 43.9, rel. 62
2θ 45.6, rel. 57
2θ 43.3, rel. 54

Cell and atoms:
Cell lengths 8.453, 8.453, 6.344 Å; angles 109.67, 109.67, 17.11 degrees
Atoms (fractional coordinates):
Cr 0.202 0.202 0.137
Cr 0.798 0.798 0.863
Co 0.044 0.044 0.886
Co 0.193 0.193 0.525
Co 0.350 0.350 0.207
Co 0.411 0.411 0.761
Co 0.589 0.589 0.239
Co 0.650 0.650 0.793
Co 0.807 0.807 0.475
Co 0.956 0.956 0.114
Re 0.500 0.500 0.500

=====

Record 8
This entry pairs a crystal structure of CePmSeS with its calculated PXRD pattern. Radiation: Cu Kα (weighted mean of Kα1 and Kα2). Structure: a crystal structure in Alexandria, relaxed with GGA-PBE.
No peak broadening, texture or thermal motion is included.

Largest 6 diffraction maxima, in order of falling intensity, 10° ≤ 2θ ≤ 90°:
2θ 30.7, rel. 100
2θ 44.2, rel. 37
2θ 43.8, rel. 35
2θ 26.6, rel. 27
2θ 54.8, rel. 19
2θ 72.9, rel. 16

Cell and atoms:
Cell lengths 7.180, 7.180, 7.180 Å; angles 33.18, 33.18, 33.18 degrees
Atoms (fractional coordinates):
Ce 0.000 0.000 0.000
Pm 0.512 0.512 0.512
Se 0.756 0.756 0.756
S 0.255 0.255 0.255

=====

Record 9
This entry pairs a crystal structure of LaPmSm2Er with its calculated PXRD pattern. Radiation: Cu Kα (weighted mean of Kα1 and Kα2). Structure: a crystal structure in Alexandria, relaxed with GGA-PBE.
No peak broadening, texture or thermal motion is included.

Largest 6 diffraction maxima, in order of falling intensity, 10° ≤ 2θ ≤ 90°:
2θ 29.3, rel. 100
2θ 30.0, rel. 71
2θ 27.6, rel. 56
2θ 34.4, rel. 45
2θ 28.5, rel. 45
2θ 32.2, rel. 43

Cell and atoms:
Cell lengths 8.565, 6.517, 6.309 Å; angles 90.00, 96.33, 90.00 degrees
Atoms (fractional coordinates):
La 0.000 0.000 0.000
La 0.000 0.000 0.500
Pm 0.000 0.441 0.250
Pm 0.000 0.559 0.750
Sm 0.314 0.313 0.715
Sm 0.314 0.687 0.215
Sm 0.686 0.313 0.785
Sm 0.686 0.687 0.285
Er 0.500 0.167 0.250
Er 0.500 0.833 0.750

=====

Record 10
This entry pairs a crystal structure of PmTmGaRh with its calculated PXRD pattern. Radiation: Cu Kα (weighted mean of Kα1 and Kα2). Structure: a crystal structure in Alexandria, relaxed with GGA-PBE.
No peak broadening, texture or thermal motion is included.

Largest 6 diffraction maxima, in order of falling intensity, 10° ≤ 2θ ≤ 90°:
2θ 35.9, rel. 100
2θ 64.6, rel. 36
2θ 51.7, rel. 18
2θ 87.2, rel. 16
2θ 76.2, rel. 11
2θ 25.2, rel. 9

Cell and atoms:
Cell lengths 4.998, 4.998, 4.998 Å; angles 60.00, 60.00, 60.00 degrees
Atoms (fractional coordinates):
Pm 0.000 0.000 0.000
Tm 0.500 0.500 0.500
Ga 0.750 0.750 0.750
Rh 0.250 0.250 0.250

=====

Record 11
This entry pairs a crystal structure of Ca2Ga2SiH2O8 with its calculated PXRD pattern. Radiation: Cu Kα (weighted mean of Kα1 and Kα2). Structure: a crystal structure in Alexandria, relaxed with GGA-PBE.
No peak broadening, texture or thermal motion is included.

Largest 6 diffraction maxima, in order of falling intensity, 10° ≤ 2θ ≤ 90°:
2θ 25.7, rel. 100
2θ 35.4, rel. 52
2θ 23.1, rel. 51
2θ 28.6, rel. 36
2θ 28.8, rel. 34
2θ 34.0, rel. 29

Cell and atoms:
Cell lengths 7.758, 7.892, 7.965 Å; angles 61.27, 77.01, 61.41 degrees
Atoms (fractional coordinates):
Ca 0.000 0.000 0.000
Ca 0.015 0.212 0.531
Ca 0.459 0.160 0.783
Ca 0.495 0.743 0.794
Ga 0.310 0.686 0.537
Ga 0.586 0.889 0.228
Ga 0.858 0.546 0.059
Ga 0.860 0.841 0.488
Si 0.315 0.415 0.043
Si 0.570 0.343 0.351
H 0.123 0.212 0.082
H 0.131 0.509 0.471
H 0.700 0.347 0.736
H 0.916 0.529 0.754
O 0.066 0.902 0.486
O 0.091 0.550 0.098
O 0.241 0.028 0.776
O 0.360 0.518 0.811
O 0.367 0.166 0.103
O 0.385 0.469 0.464
O 0.473 0.433 0.138
O 0.505 0.773 0.478
O 0.624 0.092 0.504
O 0.630 0.808 0.029
O 0.754 0.403 0.309
O 0.770 0.196 0.762
O 0.791 0.934 0.238
O 0.825 0.662 0.770
O 0.988 0.277 0.037
O 0.999 0.529 0.522

=====

Record 12
This entry pairs a crystal structure of Ac6IrS5 with its calculated PXRD pattern. Radiation: Cu Kα (weighted mean of Kα1 and Kα2). Structure: a crystal structure in Alexandria, relaxed with GGA-PBE.
No peak broadening, texture or thermal motion is included.

Largest 6 diffraction maxima, in order of falling intensity, 10° ≤ 2θ ≤ 90°:
2θ 29.1, rel. 100
2θ 41.7, rel. 51
2θ 25.1, rel. 47
2θ 41.5, rel. 26
2θ 49.2, rel. 16
2θ 25.2, rel. 15

Cell and atoms:
Cell lengths 7.523, 7.523, 7.499 Å; angles 99.64, 99.64, 119.81 degrees
Atoms (fractional coordinates):
Ac 0.082 0.408 0.746
Ac 0.244 0.244 0.253
Ac 0.408 0.082 0.746
Ac 0.592 0.918 0.254
Ac 0.756 0.756 0.747
Ac 0.918 0.592 0.254
Ir 0.000 0.000 0.500
S 0.171 0.829 0.000
S 0.334 0.666 0.500
S 0.500 0.500 0.000
S 0.666 0.334 0.500
S 0.829 0.171 0.000

=====

Record 13
This entry pairs a crystal structure of K3SrMg2H9 with its calculated PXRD pattern. Radiation: Cu Kα (weighted mean of Kα1 and Kα2). Structure: a crystal structure in Alexandria, relaxed with GGA-PBE.
No peak broadening, texture or thermal motion is included.

Largest 6 diffraction maxima, in order of falling intensity, 10° ≤ 2θ ≤ 90°:
2θ 29.4, rel. 100
2θ 30.2, rel. 87
2θ 42.6, rel. 38
2θ 53.1, rel. 34
2θ 20.9, rel. 22
2θ 17.3, rel. 18

Cell and atoms:
Cell lengths 5.914, 5.914, 7.564 Å; angles 90.00, 90.00, 120.00 degrees
Atoms (fractional coordinates):
K 0.000 0.000 0.000
K 0.333 0.667 0.707
K 0.667 0.333 0.293
Sr 0.000 0.000 0.500
Mg 0.333 0.667 0.158
Mg 0.667 0.333 0.842
H 0.000 0.500 0.000
H 0.177 0.355 0.303
H 0.177 0.823 0.303
H 0.355 0.177 0.697
H 0.500 0.000 0.000
H 0.500 0.500 0.000
H 0.645 0.823 0.303
H 0.823 0.177 0.697
H 0.823 0.645 0.697